This entry pairs a crystal structure of Mg2NbGaF with its theoretical powder diffractogram. Radiation: Cu Kα, 1.54184 Å. Structure: a GGA-PBE-relaxed structure.
Neutral-atom scattering factors, no anomalous dispersion.

Most intense lines, 15° ≤ 2θ ≤ 90°, in order of rising 2θ:
- 2θ 15.76, I 17, hkl 1 0 0
- 2θ 22.36, I 70, hkl 1 1 0
- 2θ 27.24, I 100, hkl 1 0 1
- 2θ 31.83, I 87, hkl 2 0 0
- 2θ 42.38, I 61, hkl 2 1 1
- 2θ 45.02, I 16, hkl 0 0 2
- 2θ 45.64, I 31, hkl 2 2 0
- 2θ 56.18, I 32, hkl 2 0 2
- 2θ 64.03, I 18, hkl 3 2 1
- 2θ 66.04, I 19, hkl 2 2 2

Cell and atoms:
```
data_Mg2NbGaF
_symmetry_space_group_name_H-M 'P 1'
_symmetry_Int_Tables_number 1
_symmetry_space_group_name_Hall 'P 1'
_cell_length_a 5.623
_cell_length_b 5.623
_cell_length_c 4.028
_cell_angle_alpha 90.00
_cell_angle_beta 90.00
_cell_angle_gamma 90.00
loop_
_atom_site_label
_atom_site_type_symbol
_atom_site_fract_x
_atom_site_fract_y
_atom_site_fract_z
_atom_site_occupancy
Mg1 Mg 0.000 0.500 0.000 1
Mg2 Mg 0.500 0.000 0.000 1
Nb1 Nb 0.000 0.000 0.000 1
Ga1 Ga 0.500 0.500 0.500 1
F1 F 0.000 0.000 0.500 1
```